# 1
The following is a calculated powder X-ray diffraction pattern of Ac2Nd4Dy7. It was derived from a cell relaxed with PBE, using copper Kα.
Lines closer than 0.1° are merged.

```
data_Ac2Nd4Dy7
_symmetry_space_group_name_H-M 'P 1'
_symmetry_Int_Tables_number 1
_symmetry_space_group_name_Hall 'P 1'
_cell_length_a 6.237
_cell_length_b 6.237
_cell_length_c 13.592
_cell_angle_alpha 90.00
_cell_angle_beta 90.00
_cell_angle_gamma 120.00
loop_
_atom_site_label
_atom_site_fract_x
_atom_site_fract_y
_atom_site_fract_z
_atom_site_occupancy
Ac1 0.333 0.667 0.000 1
Ac2 0.667 0.333 0.000 1
Nd1 0.000 0.000 0.393 1
Nd2 0.000 0.000 0.607 1
Nd3 0.333 0.667 0.500 1
Nd4 0.667 0.333 0.500 1
Dy1 0.000 0.000 0.000 1
Dy2 0.000 0.353 0.783 1
Dy3 0.000 0.647 0.217 1
Dy4 0.353 0.000 0.783 1
Dy5 0.353 0.353 0.217 1
Dy6 0.647 0.000 0.217 1
Dy7 0.647 0.647 0.783 1
```

Most intense lines, 15° ≤ 2θ ≤ 90°, sorted by position:
2θ (°)	intensity
26.23	21
28.63	16
29.39	38
31.57	100
32.95	15
34.93	36
49.75	19
50.71	29
60.97	15
61.81	14

# 2
The following is a calculated powder X-ray diffraction pattern of AcNd6Dy6. It was derived from a cell relaxed with PBE, using copper Kα.
Lines closer than 0.1° are merged.

```
data_AcNd6Dy6
_symmetry_space_group_name_H-M 'P 1'
_symmetry_Int_Tables_number 1
_symmetry_space_group_name_Hall 'P 1'
_cell_length_a 6.779
_cell_length_b 6.779
_cell_length_c 11.560
_cell_angle_alpha 90.00
_cell_angle_beta 90.00
_cell_angle_gamma 120.00
loop_
_atom_site_label
_atom_site_fract_x
_atom_site_fract_y
_atom_site_fract_z
_atom_site_occupancy
Ac1 0.000 0.000 0.000 1
Nd1 0.000 0.000 0.352 1
Nd2 0.000 0.000 0.648 1
Nd3 0.333 0.667 0.000 1
Nd4 0.333 0.667 0.500 1
Nd5 0.667 0.333 0.000 1
Nd6 0.667 0.333 0.500 1
Dy1 0.000 0.500 0.250 1
Dy2 0.000 0.500 0.750 1
Dy3 0.500 0.000 0.250 1
Dy4 0.500 0.000 0.750 1
Dy5 0.500 0.500 0.250 1
Dy6 0.500 0.500 0.750 1
```

Most intense lines, 15° ≤ 2θ ≤ 90°, sorted by position:
2θ (°)	intensity
26.29	40
27.69	29
30.45	65
30.58	100
30.94	34
34.26	85
34.59	27
49.15	27
54.11	39
54.81	32

# 3
The following is a calculated powder X-ray diffraction pattern of Ac6Nd4Dy. It was derived from a cell relaxed with PBE, using copper Kα.
Lines closer than 0.1° are merged.

```
data_Ac6Nd4Dy
_symmetry_space_group_name_H-M 'P 1'
_symmetry_Int_Tables_number 1
_symmetry_space_group_name_Hall 'P 1'
_cell_length_a 11.392
_cell_length_b 11.392
_cell_length_c 11.392
_cell_angle_alpha 145.19
_cell_angle_beta 145.19
_cell_angle_gamma 50.04
loop_
_atom_site_label
_atom_site_fract_x
_atom_site_fract_y
_atom_site_fract_z
_atom_site_occupancy
Ac1 0.000 0.500 0.500 1
Ac2 0.112 0.112 0.603 1
Ac3 0.491 0.888 0.000 1
Ac4 0.500 0.000 0.500 1
Ac5 0.509 0.509 0.397 1
Ac6 0.888 0.491 0.000 1
Nd1 0.057 0.674 0.000 1
Nd2 0.326 0.326 0.383 1
Nd3 0.674 0.057 0.000 1
Nd4 0.943 0.943 0.617 1
Dy1 0.000 0.000 0.000 1
```

Most intense lines, 15° ≤ 2θ ≤ 90°, sorted by position:
2θ (°)	intensity
25.28	56
25.89	41
27.57	100
29.63	70
31.46	51
31.96	60
36.65	30
37.32	37
45.59	30
55.80	29

# 4
The following is a calculated powder X-ray diffraction pattern of Ac2PmNd5Dy. It was derived from a cell relaxed with PBE, using copper Kα.
Lines closer than 0.1° are merged.

```
data_Ac2PmNd5Dy
_symmetry_space_group_name_H-M 'P 1'
_symmetry_Int_Tables_number 1
_symmetry_space_group_name_Hall 'P 1'
_cell_length_a 10.785
_cell_length_b 10.785
_cell_length_c 11.058
_cell_angle_alpha 90.00
_cell_angle_beta 90.00
_cell_angle_gamma 148.43
loop_
_atom_site_label
_atom_site_fract_x
_atom_site_fract_y
_atom_site_fract_z
_atom_site_occupancy
Ac1 0.111 0.889 0.500 1
Ac2 0.119 0.881 0.089 1
Ac3 0.881 0.119 0.589 1
Ac4 0.889 0.111 0.000 1
Pm1 0.207 0.793 0.773 1
Pm2 0.793 0.207 0.273 1
Nd1 0.020 0.980 0.792 1
Nd2 0.284 0.716 0.073 1
Nd3 0.295 0.705 0.465 1
Nd4 0.395 0.605 0.791 1
Nd5 0.480 0.520 0.510 1
Nd6 0.520 0.480 0.010 1
Nd7 0.605 0.395 0.291 1
Nd8 0.705 0.295 0.965 1
Nd9 0.716 0.284 0.573 1
Nd10 0.980 0.020 0.292 1
Dy1 0.410 0.590 0.231 1
Dy2 0.590 0.410 0.731 1
```

Most intense lines, 15° ≤ 2θ ≤ 90°, sorted by position:
2θ (°)	intensity
25.62	14
27.01	15
28.93	36
30.47	42
30.95	100
32.38	12
48.88	11
54.46	23
57.03	14
58.70	13

# 5
The following is a calculated powder X-ray diffraction pattern of AcPmNdDy3. It was derived from a cell relaxed with PBE, using copper Kα.
Lines closer than 0.1° are merged.

```
data_AcPmNdDy3
_symmetry_space_group_name_H-M 'P 1'
_symmetry_Int_Tables_number 1
_symmetry_space_group_name_Hall 'P 1'
_cell_length_a 10.588
_cell_length_b 10.588
_cell_length_c 7.269
_cell_angle_alpha 90.22
_cell_angle_beta 90.22
_cell_angle_gamma 31.37
loop_
_atom_site_label
_atom_site_fract_x
_atom_site_fract_y
_atom_site_fract_z
_atom_site_occupancy
Ac1 0.146 0.146 0.036 1
Ac2 0.854 0.854 0.964 1
Pm1 0.445 0.445 0.719 1
Pm2 0.555 0.555 0.281 1
Nd1 0.149 0.149 0.474 1
Nd2 0.851 0.851 0.526 1
Dy1 0.021 0.021 0.733 1
Dy2 0.280 0.280 0.744 1
Dy3 0.335 0.335 0.263 1
Dy4 0.665 0.665 0.737 1
Dy5 0.720 0.720 0.256 1
Dy6 0.979 0.979 0.267 1
```

Most intense lines, 15° ≤ 2θ ≤ 90°, sorted by position:
2θ (°)	intensity
26.23	17
29.43	26
29.57	91
30.14	22
31.25	65
32.01	100
34.55	40
44.00	24
54.53	15
56.10	21

# 6
The following is a calculated powder X-ray diffraction pattern of Ac5Pm2NdDy. It was derived from a cell relaxed with PBE, using copper Kα.
Lines closer than 0.1° are merged.

```
data_Ac5Pm2NdDy
_symmetry_space_group_name_H-M 'P 1'
_symmetry_Int_Tables_number 1
_symmetry_space_group_name_Hall 'P 1'
_cell_length_a 11.807
_cell_length_b 11.807
_cell_length_c 11.078
_cell_angle_alpha 90.00
_cell_angle_beta 90.00
_cell_angle_gamma 151.46
loop_
_atom_site_label
_atom_site_fract_x
_atom_site_fract_y
_atom_site_fract_z
_atom_site_occupancy
Ac1 0.000 0.000 0.000 1
Ac2 0.000 0.000 0.500 1
Ac3 0.129 0.871 0.750 1
Ac4 0.218 0.782 0.064 1
Ac5 0.218 0.782 0.436 1
Ac6 0.499 0.501 0.250 1
Ac7 0.501 0.499 0.750 1
Ac8 0.782 0.218 0.564 1
Ac9 0.782 0.218 0.936 1
Ac10 0.871 0.129 0.250 1
Pm1 0.386 0.614 0.502 1
Pm2 0.386 0.614 0.998 1
Pm3 0.614 0.386 0.002 1
Pm4 0.614 0.386 0.498 1
Nd1 0.098 0.902 0.250 1
Nd2 0.902 0.098 0.750 1
Dy1 0.295 0.705 0.750 1
Dy2 0.705 0.295 0.250 1
```

Most intense lines, 15° ≤ 2θ ≤ 90°, sorted by position:
2θ (°)	intensity
25.08	20
28.90	21
29.61	100
30.72	33
30.98	10
32.32	21
45.19	17
53.45	12
53.93	19
55.98	13

# 7
The following is a calculated powder X-ray diffraction pattern of AcPm2Nd2Dy. It was derived from a cell relaxed with PBE, using copper Kα.
Lines closer than 0.1° are merged.

```
data_AcPm2Nd2Dy
_symmetry_space_group_name_H-M 'P 1'
_symmetry_Int_Tables_number 1
_symmetry_space_group_name_Hall 'P 1'
_cell_length_a 7.286
_cell_length_b 5.832
_cell_length_c 10.067
_cell_angle_alpha 90.00
_cell_angle_beta 90.00
_cell_angle_gamma 90.00
loop_
_atom_site_label
_atom_site_fract_x
_atom_site_fract_y
_atom_site_fract_z
_atom_site_occupancy
Ac1 0.000 0.000 0.000 1
Ac2 0.500 0.000 0.000 1
Pm1 0.250 0.000 0.337 1
Pm2 0.250 0.500 0.828 1
Pm3 0.750 0.000 0.663 1
Pm4 0.750 0.500 0.172 1
Nd1 0.000 0.500 0.500 1
Nd2 0.250 0.000 0.665 1
Nd3 0.500 0.500 0.500 1
Nd4 0.750 0.000 0.335 1
Dy1 0.250 0.500 0.168 1
Dy2 0.750 0.500 0.832 1
```

Most intense lines, 15° ≤ 2θ ≤ 90°, sorted by position:
2θ (°)	intensity
30.27	99
30.71	100
43.66	37
54.30	26
54.39	13
54.56	13
59.90	30
72.34	11
77.20	10
88.82	10

# 8
The following is a calculated powder X-ray diffraction pattern of AcPrNd5Dy2. It was derived from a cell relaxed with PBE, using copper Kα.
Lines closer than 0.1° are merged.

```
data_AcPrNd5Dy2
_symmetry_space_group_name_H-M 'P 1'
_symmetry_Int_Tables_number 1
_symmetry_space_group_name_Hall 'P 1'
_cell_length_a 12.485
_cell_length_b 12.485
_cell_length_c 9.598
_cell_angle_alpha 90.00
_cell_angle_beta 90.00
_cell_angle_gamma 153.81
loop_
_atom_site_label
_atom_site_fract_x
_atom_site_fract_y
_atom_site_fract_z
_atom_site_occupancy
Ac1 0.102 0.898 0.500 1
Ac2 0.898 0.102 0.000 1
Pr1 0.265 0.735 0.108 1
Pr2 0.735 0.265 0.608 1
Nd1 0.025 0.975 0.826 1
Nd2 0.104 0.896 0.107 1
Nd3 0.188 0.812 0.802 1
Nd4 0.241 0.759 0.431 1
Nd5 0.493 0.507 0.606 1
Nd6 0.507 0.493 0.106 1
Nd7 0.759 0.241 0.931 1
Nd8 0.812 0.188 0.302 1
Nd9 0.896 0.104 0.607 1
Nd10 0.975 0.025 0.326 1
Dy1 0.329 0.671 0.745 1
Dy2 0.388 0.612 0.365 1
Dy3 0.612 0.388 0.865 1
Dy4 0.671 0.329 0.245 1
```

Most intense lines, 15° ≤ 2θ ≤ 90°, sorted by position:
2θ (°)	intensity
26.72	17
28.84	32
30.57	57
31.62	100
32.36	38
43.33	21
53.56	13
55.67	11
56.32	12
56.79	8

# 9
The following is a calculated powder X-ray diffraction pattern of AcPrNdDy. It was derived from a cell relaxed with PBE, using copper Kα.
Lines closer than 0.1° are merged.

```
data_AcPrNdDy
_symmetry_space_group_name_H-M 'P 1'
_symmetry_Int_Tables_number 1
_symmetry_space_group_name_Hall 'P 1'
_cell_length_a 6.484
_cell_length_b 6.484
_cell_length_c 6.484
_cell_angle_alpha 131.99
_cell_angle_beta 131.99
_cell_angle_gamma 70.25
loop_
_atom_site_label
_atom_site_fract_x
_atom_site_fract_y
_atom_site_fract_z
_atom_site_occupancy
Ac1 0.000 0.000 0.000 1
Pr1 0.750 0.250 0.500 1
Nd1 0.250 0.750 0.500 1
Dy1 0.500 0.500 0.000 1
```

Most intense lines, 15° ≤ 2θ ≤ 90°, sorted by position:
2θ (°)	intensity
29.27	100
33.81	17
33.99	34
48.69	25
48.83	12
57.71	15
57.95	30
60.71	13
78.90	12
79.11	6

# 10
The following is a calculated powder X-ray diffraction pattern of AcPr2NdDy. It was derived from a cell relaxed with PBE, using copper Kα.
Lines closer than 0.1° are merged.

```
data_AcPr2NdDy
_symmetry_space_group_name_H-M 'P 1'
_symmetry_Int_Tables_number 1
_symmetry_space_group_name_Hall 'P 1'
_cell_length_a 7.454
_cell_length_b 7.454
_cell_length_c 7.481
_cell_angle_alpha 90.00
_cell_angle_beta 90.00
_cell_angle_gamma 111.60
loop_
_atom_site_label
_atom_site_fract_x
_atom_site_fract_y
_atom_site_fract_z
_atom_site_occupancy
Ac1 0.242 0.758 0.750 1
Ac2 0.758 0.242 0.250 1
Pr1 0.303 0.303 0.000 1
Pr2 0.303 0.303 0.500 1
Pr3 0.697 0.697 0.000 1
Pr4 0.697 0.697 0.500 1
Nd1 0.059 0.941 0.250 1
Nd2 0.941 0.059 0.750 1
Dy1 0.307 0.693 0.250 1
Dy2 0.693 0.307 0.750 1
```

Most intense lines, 15° ≤ 2θ ≤ 90°, sorted by position:
2θ (°)	intensity
21.21	22
25.71	66
26.94	41
27.90	69
28.96	33
31.38	23
32.08	100
34.13	21
38.19	27
43.77	46

# 11
The following is a calculated powder X-ray diffraction pattern of Ac2PrNdDy. It was derived from a cell relaxed with PBE, using copper Kα.
Lines closer than 0.1° are merged.

```
data_Ac2PrNdDy
_symmetry_space_group_name_H-M 'P 1'
_symmetry_Int_Tables_number 1
_symmetry_space_group_name_Hall 'P 1'
_cell_length_a 6.519
_cell_length_b 8.862
_cell_length_c 6.887
_cell_angle_alpha 90.00
_cell_angle_beta 90.00
_cell_angle_gamma 90.00
loop_
_atom_site_label
_atom_site_fract_x
_atom_site_fract_y
_atom_site_fract_z
_atom_site_occupancy
Ac1 0.250 0.206 0.210 1
Ac2 0.250 0.794 0.210 1
Ac3 0.750 0.206 0.790 1
Ac4 0.750 0.794 0.790 1
Pr1 0.250 0.500 0.913 1
Pr2 0.750 0.500 0.087 1
Nd1 0.250 0.000 0.680 1
Nd2 0.750 0.000 0.320 1
Dy1 0.000 0.500 0.500 1
Dy2 0.500 0.500 0.500 1
```

Most intense lines, 15° ≤ 2θ ≤ 90°, sorted by position:
2θ (°)	intensity
27.36	25
27.57	100
27.79	27
30.30	27
31.06	20
32.01	21
32.94	22
35.82	28
38.01	22
48.49	22

# 12
The following is a calculated powder X-ray diffraction pattern of AcPr4Nd2Dy. It was derived from a cell relaxed with PBE, using copper Kα.
Lines closer than 0.1° are merged.

```
data_AcPr4Nd2Dy
_symmetry_space_group_name_H-M 'P 1'
_symmetry_Int_Tables_number 1
_symmetry_space_group_name_Hall 'P 1'
_cell_length_a 5.243
_cell_length_b 5.269
_cell_length_c 10.534
_cell_angle_alpha 90.00
_cell_angle_beta 90.00
_cell_angle_gamma 90.00
loop_
_atom_site_label
_atom_site_fract_x
_atom_site_fract_y
_atom_site_fract_z
_atom_site_occupancy
Ac1 0.000 0.000 0.000 1
Pr1 0.000 0.500 0.258 1
Pr2 0.000 0.500 0.742 1
Pr3 0.500 0.000 0.258 1
Pr4 0.500 0.000 0.742 1
Nd1 0.000 0.000 0.500 1
Nd2 0.500 0.500 0.000 1
Dy1 0.500 0.500 0.500 1
```

Most intense lines, 15° ≤ 2θ ≤ 90°, sorted by position:
2θ (°)	intensity
29.41	100
34.04	34
34.21	17
48.90	12
49.03	24
58.10	29
58.32	15
61.03	13
79.49	12
81.78	8